# 1
Starting from a cell relaxed with PBE, the powder diffractogram of La6CeCd was calculated for Cu Ka.
Lines closer than 0.1° are merged.

Structure:
Unit cell a=5.920 b=5.920 c=15.190 alpha=90.00 beta=90.00 gamma=90.00
Positions (direct):
La 0.000 0.000 0.237
La 0.000 0.000 0.763
La 0.000 0.500 0.108
La 0.000 0.500 0.392
La 0.000 0.500 0.608
La 0.000 0.500 0.892
La 0.500 0.000 0.108
La 0.500 0.000 0.392
La 0.500 0.000 0.608
La 0.500 0.000 0.892
La 0.500 0.500 0.263
La 0.500 0.500 0.737
Ce 0.000 0.000 0.000
Ce 0.500 0.500 0.500
Cd 0.000 0.000 0.500
Cd 0.500 0.500 0.000

Top 12 peaks for 5 to 70 degrees two-theta, in order of falling intensity:
- 2.813 Å, 31.82°, intensity 100.0
- 2.960 Å, 30.19°, intensity 65.0
- 1.679 Å, 54.66°, intensity 43.3
- 2.093 Å, 43.23°, intensity 24.3
- 1.598 Å, 57.68°, intensity 12.1
- 1.480 Å, 62.78°, intensity 7.9
- 1.406 Å, 66.49°, intensity 7.9
- 2.166 Å, 41.69°, intensity 5.5
- 1.899 Å, 47.91°, intensity 5.3
- 3.666 Å, 24.28°, intensity 3.5
- 1.924 Å, 47.24°, intensity 3.4
- 1.505 Å, 61.62°, intensity 3.4



# 2
Starting from a cell relaxed with PBE, the powder diffractogram of La6CeCd5 was calculated for Cu Ka.
Lines closer than 0.1° are merged.

Structure:
Unit cell a=9.673 b=9.673 c=9.673 alpha=146.44 beta=131.81 gamma=60.01
Positions (direct):
La 0.075 0.330 0.745
La 0.236 0.000 0.236
La 0.415 0.670 0.745
La 0.585 0.330 0.255
La 0.764 0.000 0.764
La 0.925 0.670 0.255
Ce 0.500 0.500 0.000
Cd 0.000 0.500 0.500
Cd 0.168 0.168 0.000
Cd 0.342 0.842 0.500
Cd 0.658 0.158 0.500
Cd 0.832 0.832 0.000

Top 5 peaks for 5 to 70 degrees two-theta, in order of falling intensity:
- 2.792 Å, 32.05°, intensity 100.0
- 1.612 Å, 57.13°, intensity 36.7
- 1.975 Å, 45.96°, intensity 18.0
- 1.396 Å, 67.03°, intensity 11.1
- 3.949 Å, 22.51°, intensity 0.6



# 3
Starting from a cell relaxed with PBE, the powder diffractogram of LaCeCd was calculated for Cu Ka.
Lines closer than 0.1° are merged.

Structure:
Unit cell a=6.094 b=3.257 c=8.544 alpha=90.00 beta=91.44 gamma=90.00
Positions (direct):
La 0.000 0.000 0.000
La 0.488 0.000 0.289
Ce 0.160 0.000 0.682
Ce 0.715 0.000 0.623
Cd 0.497 0.500 0.935
Cd 0.992 0.500 0.351

Top 12 peaks for 5 to 70 degrees two-theta, in order of falling intensity:
- 2.847 Å, 31.42°, intensity 100.0
- 2.733 Å, 32.77°, intensity 64.9
- 2.713 Å, 33.02°, intensity 48.7
- 2.590 Å, 34.63°, intensity 35.2
- 2.144 Å, 42.16°, intensity 32.7
- 3.045 Å, 29.33°, intensity 31.7
- 2.892 Å, 30.92°, intensity 26.4
- 2.371 Å, 37.96°, intensity 25.4
- 2.451 Å, 36.66°, intensity 24.3
- 1.414 Å, 66.09°, intensity 23.0
- 2.510 Å, 35.77°, intensity 22.2
- 3.257 Å, 27.38°, intensity 22.1



# 4
Starting from a cell relaxed with PBE, the powder diffractogram of LiCe2Cd3 was calculated for Cu Ka.
Lines closer than 0.1° are merged.

Structure:
Unit cell a=6.029 b=6.029 c=8.177 alpha=98.37 beta=98.37 gamma=94.91
Positions (direct):
Li 0.088 0.912 0.750
Li 0.912 0.088 0.250
Ce 0.142 0.639 0.359
Ce 0.361 0.858 0.141
Ce 0.639 0.142 0.859
Ce 0.858 0.361 0.641
Cd 0.174 0.317 0.995
Cd 0.317 0.174 0.495
Cd 0.402 0.598 0.750
Cd 0.598 0.402 0.250
Cd 0.683 0.826 0.505
Cd 0.826 0.683 0.005

Top 12 peaks for 5 to 70 degrees two-theta, in order of falling intensity:
- 2.561 Å, 35.04°, intensity 100.0
- 2.586 Å, 34.69°, intensity 98.8
- 1.484 Å, 62.58°, intensity 22.8
- 1.821 Å, 50.09°, intensity 21.8
- 2.967 Å, 30.12°, intensity 12.7
- 1.477 Å, 62.90°, intensity 12.0
- 1.817 Å, 50.22°, intensity 11.8
- 4.435 Å, 20.02°, intensity 11.6
- 1.482 Å, 62.71°, intensity 10.4
- 5.930 Å, 14.94°, intensity 10.0
- 1.353 Å, 69.49°, intensity 9.6
- 5.174 Å, 17.14°, intensity 7.5



# 5
Starting from a cell relaxed with PBE, the powder diffractogram of Li3CeCd9 was calculated for Cu Ka.
Lines closer than 0.1° are merged.

Structure:
Unit cell a=7.605 b=7.605 c=7.582 alpha=97.26 beta=97.26 gamma=138.28
Positions (direct):
Li 0.000 0.000 0.000
Li 0.000 0.500 0.500
Li 0.500 0.000 0.500
Ce 0.500 0.500 0.500
Cd 0.011 0.792 0.291
Cd 0.148 0.502 0.159
Cd 0.208 0.989 0.709
Cd 0.498 0.852 0.841
Cd 0.500 0.500 0.000
Cd 0.502 0.148 0.159
Cd 0.792 0.011 0.291
Cd 0.852 0.498 0.841
Cd 0.989 0.208 0.709

Top 12 peaks for 5 to 70 degrees two-theta, in order of falling intensity:
- 2.477 Å, 36.26°, intensity 100.0
- 2.846 Å, 31.44°, intensity 55.3
- 2.708 Å, 33.08°, intensity 39.4
- 2.509 Å, 35.78°, intensity 35.5
- 2.152 Å, 41.97°, intensity 29.4
- 2.220 Å, 40.63°, intensity 28.9
- 2.383 Å, 37.75°, intensity 25.0
- 2.471 Å, 36.35°, intensity 17.3
- 3.548 Å, 25.10°, intensity 17.0
- 1.515 Å, 61.17°, intensity 16.8
- 3.455 Å, 25.78°, intensity 16.2
- 1.441 Å, 64.68°, intensity 15.6



# 6
Starting from a cell relaxed with PBE, the powder diffractogram of Li3Ce2Cd4 was calculated for Cu Ka.
Lines closer than 0.1° are merged.

Structure:
Unit cell a=8.709 b=8.709 c=8.396 alpha=90.00 beta=90.00 gamma=138.97
Positions (direct):
Li 0.000 0.000 0.000
Li 0.024 0.476 0.250
Li 0.476 0.024 0.750
Li 0.500 0.500 0.500
Li 0.524 0.976 0.250
Li 0.976 0.524 0.750
Ce 0.109 0.891 0.406
Ce 0.391 0.609 0.906
Ce 0.609 0.391 0.094
Ce 0.891 0.109 0.594
Cd 0.182 0.818 0.022
Cd 0.193 0.307 0.250
Cd 0.307 0.193 0.750
Cd 0.318 0.682 0.522
Cd 0.682 0.318 0.478
Cd 0.693 0.807 0.250
Cd 0.807 0.693 0.750
Cd 0.818 0.182 0.978

Top 12 peaks for 5 to 70 degrees two-theta, in order of falling intensity:
- 2.722 Å, 32.91°, intensity 100.0
- 2.468 Å, 36.40°, intensity 70.5
- 2.647 Å, 33.86°, intensity 63.5
- 2.706 Å, 33.11°, intensity 61.0
- 3.733 Å, 23.84°, intensity 51.3
- 2.920 Å, 30.62°, intensity 50.0
- 1.691 Å, 54.23°, intensity 37.1
- 3.664 Å, 24.30°, intensity 36.9
- 2.306 Å, 39.07°, intensity 27.4
- 4.078 Å, 21.79°, intensity 24.6
- 2.587 Å, 34.68°, intensity 23.6
- 2.346 Å, 38.37°, intensity 23.3



# 7
Starting from a cell relaxed with PBE, the powder diffractogram of Li2CeCd2Sn2 was calculated for Cu Ka.
Lines closer than 0.1° are merged.

Structure:
Unit cell a=8.814 b=8.814 c=8.814 alpha=31.00 beta=31.00 gamma=31.00
Positions (direct):
Li 0.144 0.144 0.144
Li 0.856 0.856 0.856
Ce 0.000 0.000 0.000
Cd 0.442 0.442 0.442
Cd 0.558 0.558 0.558
Sn 0.264 0.264 0.264
Sn 0.736 0.736 0.736

Top 12 peaks for 5 to 70 degrees two-theta, in order of falling intensity:
- 3.422 Å, 26.04°, intensity 100.0
- 2.355 Å, 38.21°, intensity 97.5
- 2.696 Å, 33.23°, intensity 86.2
- 1.995 Å, 45.48°, intensity 34.9
- 1.774 Å, 51.52°, intensity 24.7
- 1.417 Å, 65.92°, intensity 23.4
- 1.940 Å, 46.82°, intensity 20.8
- 1.498 Å, 61.96°, intensity 18.2
- 1.360 Å, 69.07°, intensity 17.0
- 4.192 Å, 21.20°, intensity 14.6
- 1.522 Å, 60.86°, intensity 14.6
- 8.383 Å, 10.55°, intensity 13.5



# 8
Starting from a cell relaxed with PBE, the powder diffractogram of CeMg3Cd9 was calculated for Cu Ka.
Lines closer than 0.1° are merged.

Structure:
Unit cell a=7.636 b=7.636 c=7.612 alpha=98.82 beta=98.82 gamma=133.91
Positions (direct):
Ce 0.000 0.000 0.000
Mg 0.000 0.500 0.000
Mg 0.500 0.000 0.000
Mg 0.500 0.500 0.500
Cd 0.000 0.000 0.500
Cd 0.001 0.351 0.346
Cd 0.290 0.506 0.786
Cd 0.351 0.001 0.346
Cd 0.494 0.710 0.214
Cd 0.506 0.290 0.786
Cd 0.649 0.999 0.654
Cd 0.710 0.494 0.214
Cd 0.999 0.649 0.654

Top 12 peaks for 5 to 70 degrees two-theta, in order of falling intensity:
- 2.500 Å, 35.91°, intensity 100.0
- 2.893 Å, 30.91°, intensity 57.5
- 2.989 Å, 29.89°, intensity 45.3
- 2.275 Å, 39.62°, intensity 43.1
- 2.480 Å, 36.22°, intensity 41.4
- 2.560 Å, 35.05°, intensity 40.6
- 1.614 Å, 57.07°, intensity 30.0
- 2.232 Å, 40.41°, intensity 29.8
- 1.447 Å, 64.40°, intensity 21.9
- 2.495 Å, 35.99°, intensity 20.8
- 1.434 Å, 65.05°, intensity 14.5
- 1.437 Å, 64.87°, intensity 13.9